For MgMnRe2O8, the GGA+U geometry in the Materials Project gives the simulated PXRD pattern in this record (Cu Kα (λ = 1.5418 Å)).

Cell and atoms:
Lattice parameters (Å, degrees): 5.8559 5.8559 5.9114 90.00 90.00 120.00
Space group P-3m1 (No. 164)
Asymmetric unit:
1 Mg 0.0000 0.0000 0.0000
2 Mn 0.0000 0.0000 0.5000
3 Re 0.3333 0.6667 0.8217
4 O 0.1575 0.3150 0.7529
5 O 0.3333 0.6667 0.1183

Top 12 peaks for 2θ = 10–90°, most intense first:
2θ (°)	d (Å)	intensity	index
23.11	3.849	100	0 1 1
30.53	2.928	50	1 1 0
35.14	2.554	27	1 0 2
50.02	1.823	27	1 2 1
47.23	1.925	16	0 2 2
57.29	1.608	15	2 1 2
56.27	1.635	14	1 1 3
38.64	2.330	13	2 0 1
14.99	5.911	11	0 0 1
54.26	1.690	10	3 0 0
68.58	1.368	10	3 1 1
63.55	1.464	9	2 2 0


For Mg2VWO6, the GGA+U geometry in the Materials Project gives the simulated PXRD pattern in this record (Cu Kα (λ = 1.5418 Å)).

Cell and atoms:
Lattice parameters (Å, degrees): 5.211 5.374 9.222 90.00 123.82 90.00
Space group P2_1/c (No. 14)
Asymmetric unit:
1 Mg 0.246 0.046 0.248
2 V 0.000 0.000 0.500
3 W 0.500 0.000 0.000
4 O 0.114 0.177 0.934
5 O 0.251 0.683 0.929
6 O 0.381 0.077 0.754

Top 12 peaks for 2θ = 10–90°, most intense first:
2θ (°)	d (Å)	intensity	index
33.35	2.687	100	1 1 1
23.78	3.741	90	1 1 -1
33.61	2.667	65	1 1 -3
20.18	4.400	62	0 1 1
23.22	3.831	48	0 0 2
48.68	1.871	32	2 2 -2
39.46	2.284	31	1 0 -4
20.71	4.289	29	1 0 -2
20.51	4.330	28	1 0 0
34.42	2.606	28	2 0 -2
59.60	1.551	23	2 0 2
40.12	2.248	18	2 1 -1


For CaVP2O7, the GGA+U geometry in the Materials Project gives the simulated PXRD pattern in this record (Cu Kα (λ = 1.5418 Å)).

Cell and atoms:
Lattice parameters (Å, degrees): 7.425 8.906 9.309 90.00 115.63 90.00
Space group P2_1/c (No. 14)
Asymmetric unit:
1 Ca 0.215 0.050 0.354
2 V 0.272 0.075 0.886
3 P 0.036 0.742 0.970
4 P 0.445 0.724 0.259
5 O 0.028 0.111 0.649
6 O 0.071 0.610 0.402
7 O 0.106 0.241 0.950
8 O 0.243 0.675 0.104
9 O 0.398 0.237 0.306
10 O 0.411 0.632 0.831
11 O 0.483 0.587 0.370

Top 12 peaks for 2θ = 10–90°, most intense first:
2θ (°)	d (Å)	intensity	index
28.04	3.182	100	1 2 -2
29.62	3.016	82	1 0 2
27.79	3.210	61	2 1 -2
33.50	2.675	33	2 2 0
40.12	2.248	27	2 3 -2
54.83	1.674	22	3 3 -4
53.23	1.721	19	4 0 -4
33.01	2.714	17	1 3 0
47.93	1.898	16	0 2 4
68.21	1.375	11	2 3 -6
50.98	1.791	10	3 2 1
51.82	1.764	10	2 3 2


For MnVO4, the GGA+U geometry in the Materials Project gives the simulated PXRD pattern in this record (Cu Kα (λ = 1.5418 Å)).

Cell and atoms:
Lattice parameters (Å, degrees): 5.676 8.303 6.457 90.00 90.00 90.00
Space group Cmcm (No. 63)
Asymmetric unit:
1 Mn 0.000 0.000 0.000
2 V 0.000 0.351 0.250
3 O 0.000 0.228 0.037
4 O 0.242 0.027 0.750

Top 12 peaks for 2θ = 10–90°, most intense first:
2θ (°)	d (Å)	intensity	index
33.71	2.659	100	1 1 2
23.46	3.792	79	1 1 1
25.51	3.492	45	0 2 1
36.11	2.488	44	1 3 0
31.52	2.838	44	2 0 0
62.45	1.487	36	2 4 2
18.94	4.686	31	1 1 0
47.98	1.896	24	2 2 2
57.54	1.602	21	3 1 2
21.40	4.152	18	0 2 0
52.40	1.746	15	0 4 2
57.05	1.614	14	0 0 4


For Li9Co7O16, the GGA+U geometry in the Materials Project gives the simulated PXRD pattern in this record (Cu Kα (λ = 1.5418 Å)).

Cell and atoms:
Lattice parameters (Å, degrees): 11.671 5.762 10.102 90.00 124.84 90.00
Space group C2/m (No. 12)
Asymmetric unit:
1 Li 0.000 0.000 0.000
2 Li 0.245 0.247 0.244
3 Li 0.249 0.000 0.000
4 Li 0.249 0.000 0.501
5 Co 0.000 0.000 0.500
6 Co 0.000 0.245 0.244
7 Co 0.000 0.500 0.000
8 Co 0.000 0.500 0.500
9 O 0.108 0.500 0.732
10 O 0.109 0.254 0.497
11 O 0.112 0.270 0.992
12 O 0.113 0.000 0.734
13 O 0.114 0.500 0.234
14 O 0.118 0.000 0.256

Top 12 peaks for 2θ = 10–90°, most intense first:
2θ (°)	d (Å)	intensity	index
18.53	4.789	100	2 0 0
44.18	2.050	52	4 2 -2
43.67	2.073	27	0 0 4
36.47	2.464	26	2 2 -2
64.06	1.454	14	4 2 -6
63.67	1.462	14	4 2 2
36.07	2.490	14	2 0 -4
48.13	1.890	13	2 2 2
58.23	1.584	10	6 2 -2
17.99	4.932	8	1 1 -1
38.04	2.366	8	0 2 2
64.72	1.440	7	0 4 0